For Ca7ZrN6, DFT lattice parameters and positions (GGA-PBE) gives the theoretical XRD peak list in this record (Cu Kα, 1.54184 Å).

Structural model:
```
Ca7ZrN6
1.0
-3.1980 5.8972 6.5373
3.1980 -5.8972 6.5373
3.1980 5.8972 -6.5373
Ca Zr N
14 2 12
direct
0.0421 0.2191 0.2612
0.1066 0.4915 0.8407
0.1508 0.9915 0.3849
0.2500 0.2500 0.0000
0.3492 0.7341 0.8407
0.3934 0.2341 0.3849
0.4579 0.7191 0.1770
0.5421 0.2809 0.8230
0.6066 0.7659 0.6151
0.6508 0.2659 0.1593
0.7500 0.7500 0.0000
0.8492 0.0085 0.6151
0.8934 0.5085 0.1593
0.9579 0.7809 0.7388
0.2500 0.7500 0.5000
0.7500 0.2500 0.5000
0.0622 0.8716 0.5923
0.1570 0.8790 0.0360
0.2207 0.6284 0.1906
0.2793 0.4699 0.4077
0.3430 0.3790 0.7220
0.4378 0.0301 0.8094
0.5622 0.9699 0.1906
0.6570 0.6210 0.2780
0.7207 0.5301 0.5923
0.7793 0.3716 0.8094
0.8430 0.1210 0.9640
0.9378 0.1284 0.4077
```

Main lines, in order of rising 2θ (5° ≤ 2θ ≤ 70°):
20.3 deg, d = 4.379 Å, I 18.6
20.8 deg, d = 4.263 Å, I 32.4
29.7 deg, d = 3.004 Å, I 16.5
30.3 deg, d = 2.949 Å, I 26.9
31.1 deg, d = 2.873 Å, I 27.9
31.3 deg, d = 2.859 Å, I 100.0
34.2 deg, d = 2.623 Å, I 23.6
34.7 deg, d = 2.583 Å, I 47.1
44.0 deg, d = 2.058 Å, I 22.1
50.7 deg, d = 1.801 Å, I 18.4

---

For AlN3F6, DFT lattice parameters and positions (GGA-PBE) gives the theoretical XRD peak list in this record (Cu Kα, 1.54184 Å).

Structural model:
```
AlN3F6
1.0
0.0000 3.7846 3.7846
3.7846 0.0000 3.7846
3.7846 3.7846 0.0000
Al N F
1 3 6
direct
0.0000 0.0000 0.0000
0.2500 0.2500 0.2500
0.5000 0.5000 0.5000
0.7500 0.7500 0.7500
0.2461 0.2461 0.7539
0.2461 0.7539 0.2461
0.2461 0.7539 0.7539
0.7539 0.2461 0.2461
0.7539 0.2461 0.7539
0.7539 0.7539 0.2461
```

Main lines, in order of rising 2θ (5° ≤ 2θ ≤ 70°):
20.3 deg, d = 4.370 Å, I 11.4
23.5 deg, d = 3.785 Å, I 71.4
33.5 deg, d = 2.676 Å, I 15.7
39.5 deg, d = 2.282 Å, I 4.1
41.3 deg, d = 2.185 Å, I 71.4
48.1 deg, d = 1.892 Å, I 100.0
52.7 deg, d = 1.737 Å, I 1.3
54.2 deg, d = 1.693 Å, I 24.1
59.9 deg, d = 1.545 Å, I 4.4
63.9 deg, d = 1.457 Å, I 3.0

---

For SiO2, DFT lattice parameters and positions (GGA-PBE) gives the theoretical XRD peak list in this record (Cu Kα, 1.54184 Å).

Structural model:
```
SiO2
1.0
12.9780 -2.6401 0.0000
12.9780 2.6401 0.0000
-3.9786 0.0000 11.5933
Si O
14 28
direct
0.0627 0.0627 0.4084
0.0682 0.0682 0.6697
0.2823 0.2823 0.7186
0.2824 0.2824 0.9815
0.2877 0.2877 0.3598
0.3689 0.3689 0.2136
0.3760 0.3760 0.6163
0.6240 0.6240 0.3837
0.6311 0.6311 0.7864
0.7123 0.7123 0.6402
0.7176 0.7176 0.0185
0.7177 0.7177 0.2814
0.9318 0.9318 0.3303
0.9373 0.9373 0.5916
0.0000 0.5000 0.0000
0.9997 0.5004 0.3461
0.0003 0.4996 0.6539
0.0031 0.0031 0.6438
0.0822 0.0822 0.5492
0.1561 0.6561 0.2563
0.1649 0.6641 0.6371
0.2873 0.2873 0.8534
0.3175 0.3175 0.2621
0.3333 0.3333 0.4862
0.3359 0.8351 0.3629
0.3433 0.3433 0.7091
0.3441 0.3441 0.0735
0.3439 0.8439 0.7437
0.5000 0.0000 0.0000
0.5004 0.9997 0.3461
0.4996 0.0003 0.6539
0.6561 0.1561 0.2563
0.6559 0.6559 0.9265
0.6567 0.6567 0.2909
0.6641 0.1649 0.6371
0.6667 0.6667 0.5138
0.6825 0.6825 0.7379
0.7127 0.7127 0.1466
0.8351 0.3359 0.3629
0.8439 0.3439 0.7437
0.9178 0.9178 0.4508
0.9969 0.9969 0.3562
```

Main lines, in order of rising 2θ (5° ≤ 2θ ≤ 70°):
7.2 deg, d = 12.275 Å, I 85.4
7.6 deg, d = 11.593 Å, I 100.0
8.6 deg, d = 10.252 Å, I 66.5
18.4 deg, d = 4.834 Å, I 15.0
20.0 deg, d = 4.437 Å, I 99.4
21.7 deg, d = 4.091 Å, I 13.9
22.9 deg, d = 3.888 Å, I 20.3
23.0 deg, d = 3.865 Å, I 27.1
24.8 deg, d = 3.596 Å, I 15.1
26.1 deg, d = 3.417 Å, I 11.7

---

For Li2InCuF6, DFT lattice parameters and positions (GGA-PBE) gives the theoretical XRD peak list in this record (Cu Kα, 1.54184 Å).

Structural model:
```
Li2InCuF6
1.0
0.0000 4.2232 4.2232
4.2232 0.0000 4.2232
4.2232 4.2232 0.0000
Li In Cu F
2 1 1 6
direct
0.2500 0.2500 0.2500
0.7500 0.7500 0.7500
0.0000 0.0000 0.0000
0.5000 0.5000 0.5000
0.2502 0.2502 0.7498
0.2502 0.7498 0.2502
0.2502 0.7498 0.7498
0.7498 0.2502 0.2502
0.7498 0.2502 0.7498
0.7498 0.7498 0.2502
```

Main lines, in order of rising 2θ (5° ≤ 2θ ≤ 70°):
18.2 deg, d = 4.876 Å, I 8.8
21.0 deg, d = 4.223 Å, I 100.0
29.9 deg, d = 2.986 Å, I 42.7
35.2 deg, d = 2.547 Å, I 5.1
42.8 deg, d = 2.112 Å, I 31.2
46.9 deg, d = 1.938 Å, I 2.3
48.2 deg, d = 1.889 Å, I 41.0
53.1 deg, d = 1.724 Å, I 17.4
62.2 deg, d = 1.493 Å, I 17.9
66.4 deg, d = 1.408 Å, I 17.8

---

For Fe3Ni3Pt2, DFT lattice parameters and positions (GGA-PBE) gives the theoretical XRD peak list in this record (Cu Kα, 1.54184 Å).

Structural model:
```
Fe3Ni3Pt2
1.0
3.6478 0.0000 0.0000
0.0000 3.6816 0.0000
0.0000 0.0000 7.2305
Fe Ni Pt
3 3 2
direct
0.0000 0.0000 0.0000
0.5000 0.0000 0.2461
0.5000 0.0000 0.7539
0.0000 0.0000 0.5000
0.5000 0.5000 0.0000
0.5000 0.5000 0.5000
0.0000 0.5000 0.2504
0.0000 0.5000 0.7496
```

Main lines, in order of rising 2θ (5° ≤ 2θ ≤ 70°):
24.2 deg, d = 3.682 Å, I 14.2
24.4 deg, d = 3.648 Å, I 12.7
24.6 deg, d = 3.615 Å, I 11.3
34.6 deg, d = 2.591 Å, I 9.6
34.8 deg, d = 2.580 Å, I 10.5
34.9 deg, d = 2.568 Å, I 11.4
42.9 deg, d = 2.106 Å, I 100.0
49.5 deg, d = 1.841 Å, I 16.3
50.0 deg, d = 1.824 Å, I 15.9
50.5 deg, d = 1.808 Å, I 15.4